1.
Theoretical powder XRD pattern
Compound: Pm5SiGe6
Radiation: copper Kα
Structure: a cell relaxed with GGA-PBE

Most intense lines, 2θ = 10–90°, most intense first:
31.6 deg, intensity 100.0; 29.8 deg, intensity 69.4; 43.7 deg, intensity 40.7; 44.2 deg, intensity 39.0; 37.6 deg, intensity 35.7; 29.4 deg, intensity 26.0

Structure:
Lattice parameters (Å, degrees): 6.540 6.540 7.610 97.63 97.63 107.45
Fractional positions:
Pm 0.000 0.000 0.000
Pm 0.190 0.810 0.500
Pm 0.329 0.671 0.000
Pm 0.671 0.329 0.000
Pm 0.810 0.190 0.500
Si 0.500 0.500 0.500
Ge 0.134 0.394 0.267
Ge 0.253 0.253 0.737
Ge 0.394 0.134 0.267
Ge 0.606 0.866 0.733
Ge 0.747 0.747 0.263
Ge 0.866 0.606 0.733

2.
Theoretical powder XRD pattern
Compound: Pm3SiGe3
Radiation: copper Kα
Structure: a cell relaxed with GGA-PBE

Most intense lines, 2θ = 10–90°, most intense first:
31.9 deg, intensity 100.0; 44.4 deg, intensity 79.8; 30.1 deg, intensity 69.8; 20.7 deg, intensity 61.4; 36.3 deg, intensity 34.1; 47.9 deg, intensity 30.9

Structure:
Lattice parameters (Å, degrees): 8.577 8.577 5.932 90.00 90.00 120.00
Fractional positions:
Pm 0.081 0.390 0.250
Pm 0.309 0.919 0.250
Pm 0.390 0.309 0.750
Pm 0.610 0.691 0.250
Pm 0.691 0.081 0.750
Pm 0.919 0.610 0.750
Si 0.333 0.667 0.750
Si 0.667 0.333 0.250
Ge 0.076 0.360 0.750
Ge 0.285 0.924 0.750
Ge 0.360 0.285 0.250
Ge 0.640 0.715 0.750
Ge 0.715 0.076 0.250
Ge 0.924 0.640 0.250

3.
Theoretical powder XRD pattern
Compound: Pm3Si2Ge
Radiation: copper Kα
Structure: a cell relaxed with GGA-PBE

Most intense lines, 2θ = 10–90°, most intense first:
27.1 deg, intensity 100.0; 38.8 deg, intensity 43.5; 38.6 deg, intensity 33.2; 48.0 deg, intensity 21.1; 63.3 deg, intensity 18.3; 53.2 deg, intensity 15.5

Structure:
Lattice parameters (Å, degrees): 7.368 7.368 7.368 66.15 66.15 66.15
Fractional positions:
Pm 0.084 0.750 0.416
Pm 0.250 0.584 0.916
Pm 0.416 0.084 0.750
Pm 0.584 0.916 0.250
Pm 0.750 0.416 0.084
Pm 0.916 0.250 0.584
Si 0.170 0.170 0.170
Si 0.330 0.330 0.330
Si 0.670 0.670 0.670
Si 0.830 0.830 0.830
Ge 0.000 0.000 0.000
Ge 0.500 0.500 0.500

4.
Theoretical powder XRD pattern
Compound: Pm4Si3Ge5
Radiation: copper Kα
Structure: a cell relaxed with GGA-PBE

Most intense lines, 2θ = 10–90°, most intense first:
33.5 deg, intensity 100.0; 36.8 deg, intensity 76.1; 29.7 deg, intensity 71.2; 25.3 deg, intensity 68.6; 40.5 deg, intensity 67.1; 27.6 deg, intensity 62.1

Structure:
Lattice parameters (Å, degrees): 7.916 7.916 10.985 124.86 124.86 32.69
Fractional positions:
Pm 0.119 0.119 0.367
Pm 0.159 0.159 0.058
Pm 0.841 0.841 0.942
Pm 0.881 0.881 0.633
Si 0.269 0.269 0.704
Si 0.500 0.500 0.500
Si 0.731 0.731 0.296
Ge 0.000 0.000 0.500
Ge 0.408 0.408 0.210
Ge 0.466 0.466 0.866
Ge 0.534 0.534 0.134
Ge 0.592 0.592 0.790

5.
Theoretical powder XRD pattern
Compound: PmSiTc2Ge
Radiation: copper Kα
Structure: a cell relaxed with GGA-PBE

Most intense lines, 2θ = 10–90°, most intense first:
34.8 deg, intensity 100.0; 35.1 deg, intensity 98.3; 43.5 deg, intensity 84.9; 33.4 deg, intensity 75.9; 48.4 deg, intensity 32.5; 74.1 deg, intensity 26.6

Structure:
Lattice parameters (Å, degrees): 6.025 6.025 5.908 90.00 90.00 121.87
Fractional positions:
Pm 0.248 0.752 0.750
Pm 0.752 0.248 0.250
Si 0.116 0.884 0.250
Si 0.884 0.116 0.750
Tc 0.255 0.255 0.000
Tc 0.255 0.255 0.500
Tc 0.745 0.745 0.000
Tc 0.745 0.745 0.500
Ge 0.361 0.639 0.250
Ge 0.639 0.361 0.750

6.
Theoretical powder XRD pattern
Compound: Pm3Sm2Ge3
Radiation: copper Kα
Structure: a cell relaxed with GGA-PBE

Most intense lines, 2θ = 10–90°, most intense first:
33.1 deg, intensity 100.0; 35.8 deg, intensity 22.7; 27.7 deg, intensity 16.8; 34.2 deg, intensity 16.0; 62.7 deg, intensity 15.8; 69.5 deg, intensity 12.5

Structure:
Lattice parameters (Å, degrees): 10.969 10.969 10.969 158.65 153.58 34.21
Fractional positions:
Pm 0.000 0.000 0.000
Pm 0.388 0.888 0.500
Pm 0.612 0.112 0.500
Sm 0.230 0.230 0.000
Sm 0.770 0.770 0.000
Ge 0.126 0.626 0.500
Ge 0.500 0.500 0.000
Ge 0.874 0.374 0.500

7.
Theoretical powder XRD pattern
Compound: Pm2Sm5Ge4
Radiation: copper Kα
Structure: a cell relaxed with GGA-PBE

Most intense lines, 2θ = 10–90°, most intense first:
30.0 deg, intensity 100.0; 33.1 deg, intensity 54.7; 25.2 deg, intensity 47.6; 35.9 deg, intensity 47.1; 37.0 deg, intensity 24.1; 32.8 deg, intensity 23.2

Structure:
Lattice parameters (Å, degrees): 13.098 13.098 7.079 91.36 91.36 15.67
Fractional positions:
Pm 0.093 0.093 0.196
Pm 0.907 0.907 0.804
Sm 0.131 0.131 0.697
Sm 0.235 0.235 0.252
Sm 0.500 0.500 0.500
Sm 0.765 0.765 0.748
Sm 0.869 0.869 0.303
Ge 0.024 0.024 0.845
Ge 0.326 0.326 0.003
Ge 0.674 0.674 0.997
Ge 0.976 0.976 0.155

8.
Theoretical powder XRD pattern
Compound: PmSm4Ge2
Radiation: copper Kα
Structure: a cell relaxed with GGA-PBE

Most intense lines, 2θ = 10–90°, most intense first:
25.4 deg, intensity 100.0; 36.3 deg, intensity 90.8; 36.2 deg, intensity 89.0; 65.3 deg, intensity 47.9; 52.2 deg, intensity 31.1; 44.9 deg, intensity 21.9

Structure:
Lattice parameters (Å, degrees): 10.550 10.550 10.550 27.11 27.11 27.11
Fractional positions:
Pm 0.000 0.000 0.000
Sm 0.202 0.202 0.202
Sm 0.395 0.395 0.395
Sm 0.605 0.605 0.605
Sm 0.798 0.798 0.798
Ge 0.100 0.100 0.100
Ge 0.900 0.900 0.900

9.
Theoretical powder XRD pattern
Compound: Pm6SnGe4
Radiation: copper Kα
Structure: a cell relaxed with GGA-PBE

Most intense lines, 2θ = 10–90°, most intense first:
28.7 deg, intensity 100.0; 36.4 deg, intensity 93.8; 27.5 deg, intensity 60.3; 37.3 deg, intensity 36.8; 33.2 deg, intensity 29.6; 50.1 deg, intensity 28.7

Structure:
Lattice parameters (Å, degrees): 7.608 7.608 7.608 119.85 119.85 90.25
Fractional positions:
Pm 0.000 0.500 0.500
Pm 0.049 0.049 0.639
Pm 0.410 0.410 0.361
Pm 0.500 0.000 0.500
Pm 0.590 0.951 0.000
Pm 0.951 0.590 0.000
Sn 0.500 0.500 0.000
Ge 0.078 0.078 0.292
Ge 0.213 0.922 0.000
Ge 0.787 0.787 0.708
Ge 0.922 0.213 0.000

10.
Theoretical powder XRD pattern
Compound: Pm10Sn3Ge3
Radiation: copper Kα
Structure: a cell relaxed with GGA-PBE

Most intense lines, 2θ = 10–90°, most intense first:
33.2 deg, intensity 100.0; 34.5 deg, intensity 22.2; 30.3 deg, intensity 19.4; 51.2 deg, intensity 16.2; 28.9 deg, intensity 13.2; 48.6 deg, intensity 11.7

Structure:
Lattice parameters (Å, degrees): 9.013 9.013 6.725 90.00 90.00 120.00
Fractional positions:
Pm 0.000 0.243 0.000
Pm 0.000 0.758 0.500
Pm 0.242 0.242 0.500
Pm 0.243 0.000 0.000
Pm 0.333 0.667 0.241
Pm 0.333 0.667 0.759
Pm 0.667 0.333 0.241
Pm 0.667 0.333 0.759
Pm 0.757 0.757 0.000
Pm 0.758 0.000 0.500
Sn 0.000 0.397 0.500
Sn 0.397 0.000 0.500
Sn 0.603 0.603 0.500
Ge 0.000 0.610 0.000
Ge 0.390 0.390 0.000
Ge 0.610 0.000 0.000

11.
Theoretical powder XRD pattern
Compound: Pm3Sn2Ge2
Radiation: copper Kα
Structure: a cell relaxed with GGA-PBE

Most intense lines, 2θ = 10–90°, most intense first:
30.1 deg, intensity 100.0; 40.4 deg, intensity 64.2; 34.3 deg, intensity 39.7; 28.0 deg, intensity 31.0; 41.3 deg, intensity 27.1; 30.8 deg, intensity 25.3

Structure:
Lattice parameters (Å, degrees): 10.054 10.054 10.054 154.91 154.36 36.18
Fractional positions:
Pm 0.000 0.000 0.000
Pm 0.177 0.677 0.500
Pm 0.823 0.323 0.500
Sn 0.344 0.844 0.500
Sn 0.656 0.156 0.500
Ge 0.436 0.436 0.000
Ge 0.564 0.564 0.000

12.
Theoretical powder XRD pattern
Compound: Pm6Sn5Ge
Radiation: copper Kα
Structure: a cell relaxed with GGA-PBE

Most intense lines, 2θ = 10–90°, most intense first:
29.2 deg, intensity 100.0; 28.4 deg, intensity 66.9; 40.7 deg, intensity 39.7; 41.7 deg, intensity 39.7; 35.4 deg, intensity 28.7; 46.9 deg, intensity 17.2

Structure:
Lattice parameters (Å, degrees): 7.065 7.065 7.928 97.11 97.11 108.59
Fractional positions:
Pm 0.059 0.389 0.725
Pm 0.211 0.211 0.226
Pm 0.389 0.059 0.725
Pm 0.611 0.941 0.275
Pm 0.789 0.789 0.774
Pm 0.941 0.611 0.275
Sn 0.205 0.795 0.000
Sn 0.368 0.632 0.500
Sn 0.500 0.500 0.000
Sn 0.632 0.368 0.500
Sn 0.795 0.205 0.000
Ge 0.000 0.000 0.500